No. 1
Diffraction record for YWN3. The powder XRD pattern is simulated, not measured: it uses the GGA-PBE geometry in Alexandria and λ = 1.5418 Å (Cu Kα).
No peak broadening, texture or thermal motion is included.

Cell and atoms:
Cell lengths 5.6432, 5.6432, 5.6432 Å; angles 59.32, 59.32, 59.32 degrees
Element x y z (fractional)
Y (0.0000, 0.0000, 0.0000)
Y (0.5000, 0.5000, 0.5000)
W (0.2602, 0.2602, 0.2602)
W (0.7602, 0.7602, 0.7602)
N (0.0357, 0.4467, 0.6142)
N (0.1142, 0.9467, 0.5357)
N (0.4467, 0.6142, 0.0357)
N (0.5357, 0.1142, 0.9467)
N (0.6142, 0.0357, 0.4467)
N (0.9467, 0.5357, 0.1142)

Largest 12 diffraction maxima, most intense first, 2θ from 15° to 90°:
- 2.821 Å, 2θ 31.72, I 100
- 2.793 Å, 2θ 32.05, I 92
- 1.985 Å, 2θ 45.71, I 45
- 1.618 Å, 2θ 56.92, I 40
- 3.969 Å, 2θ 22.40, I 35
- 1.612 Å, 2θ 57.13, I 22
- 1.635 Å, 2θ 56.28, I 20
- 1.259 Å, 2θ 75.51, I 17
- 1.251 Å, 2θ 76.05, I 16
- 1.396 Å, 2θ 67.02, I 13
- 1.411 Å, 2θ 66.26, I 13
- 1.782 Å, 2θ 51.25, I 11



No. 2
Diffraction record for CsPrUS4. The powder XRD pattern is simulated, not measured: it uses the GGA-PBE geometry in Alexandria and λ = 1.5418 Å (Cu Kα).
No peak broadening, texture or thermal motion is included.

Cell and atoms:
Cell lengths 8.6905, 8.6905, 8.6905 Å; angles 121.53, 117.41, 90.96 degrees
Element x y z (fractional)
Cs (0.3877, 0.1377, 0.2500)
Cs (0.6123, 0.8623, 0.7500)
Pr (0.0000, 0.5000, 0.5000)
Pr (0.5000, 0.5000, 0.0000)
U (0.0000, 0.0000, 0.5000)
U (0.0000, 0.5000, 0.0000)
S (0.1752, 0.7347, 0.4405)
S (0.2058, 0.2653, 0.9405)
S (0.2202, 0.2584, 0.5382)
S (0.2202, 0.6820, 0.9618)
S (0.7798, 0.3180, 0.0382)
S (0.7798, 0.7416, 0.4618)
S (0.7942, 0.7347, 0.0595)
S (0.8248, 0.2653, 0.5595)

Largest 12 diffraction maxima, most intense first, 2θ from 15° to 90°:
- 3.664 Å, 2θ 24.29, I 100
- 2.170 Å, 2θ 41.61, I 64
- 2.407 Å, 2θ 37.37, I 40
- 3.788 Å, 2θ 23.48, I 40
- 2.353 Å, 2θ 38.25, I 39
- 3.705 Å, 2θ 24.02, I 32
- 3.092 Å, 2θ 28.87, I 31
- 3.627 Å, 2θ 24.54, I 28
- 4.341 Å, 2θ 20.46, I 24
- 1.894 Å, 2θ 48.04, I 19
- 1.832 Å, 2θ 49.77, I 18
- 4.514 Å, 2θ 19.67, I 17



No. 3
Diffraction record for Ga3Ge. The powder XRD pattern is simulated, not measured: it uses the GGA-PBE geometry in Alexandria and λ = 1.5418 Å (Cu Kα).
No peak broadening, texture or thermal motion is included.

Cell and atoms:
Cell lengths 4.7564, 4.7564, 4.7564 Å; angles 60.00, 60.00, 60.00 degrees
Element x y z (fractional)
Ga (0.0000, 0.0000, 0.0000)
Ga (0.2500, 0.2500, 0.2500)
Ga (0.7500, 0.7500, 0.7500)
Ge (0.5000, 0.5000, 0.5000)

Largest 4 diffraction maxima, most intense first, 2θ from 15° to 90°:
- 2.378 Å, 2θ 37.83, I 100
- 1.373 Å, 2θ 68.31, I 33
- 1.682 Å, 2θ 54.57, I 17
- 1.189 Å, 2θ 80.83, I 10



No. 4
Diffraction record for RbB3H3. The powder XRD pattern is simulated, not measured: it uses the GGA-PBE geometry in Alexandria and λ = 1.5418 Å (Cu Kα).
No peak broadening, texture or thermal motion is included.

Cell and atoms:
Cell lengths 6.5036, 6.5036, 6.5036 Å; angles 60.00, 60.00, 60.00 degrees
Element x y z (fractional)
Rb (0.2500, 0.2500, 0.2500)
Rb (0.7500, 0.7500, 0.7500)
B (0.1330, 0.1330, 0.8670)
B (0.1330, 0.8670, 0.1330)
B (0.1330, 0.8670, 0.8670)
B (0.8670, 0.1330, 0.1330)
B (0.8670, 0.1330, 0.8670)
B (0.8670, 0.8670, 0.1330)
H (0.2645, 0.2645, 0.7355)
H (0.2645, 0.7355, 0.2645)
H (0.2645, 0.7355, 0.7355)
H (0.7355, 0.2645, 0.2645)
H (0.7355, 0.2645, 0.7355)
H (0.7355, 0.7355, 0.2645)

Largest 12 diffraction maxima, most intense first, 2θ from 15° to 90°:
- 3.252 Å, 2θ 27.43, I 100
- 4.599 Å, 2θ 19.30, I 59
- 2.057 Å, 2θ 44.03, I 47
- 2.655 Å, 2θ 33.76, I 39
- 1.877 Å, 2θ 48.49, I 28
- 1.533 Å, 2θ 60.39, I 27
- 2.299 Å, 2θ 39.18, I 21
- 1.454 Å, 2θ 64.03, I 18
- 1.229 Å, 2θ 77.69, I 16
- 1.115 Å, 2θ 87.45, I 13
- 1.387 Å, 2θ 67.56, I 13
- 5.310 Å, 2θ 16.70, I 11



No. 5
Diffraction record for Pm2PrNd7. The powder XRD pattern is simulated, not measured: it uses the GGA-PBE geometry in Alexandria and λ = 1.5418 Å (Cu Kα).
No peak broadening, texture or thermal motion is included.

Cell and atoms:
Cell lengths 10.5171, 10.5171, 3.5507 Å; angles 90.00, 90.00, 109.25 degrees
Element x y z (fractional)
Pm (0.1709, 0.8291, 0.0000)
Pm (0.8291, 0.1709, 0.0000)
Pr (0.0000, 0.0000, 0.5000)
Nd (0.1274, 0.3861, 0.0000)
Nd (0.3245, 0.6755, 0.5000)
Nd (0.3861, 0.1274, 0.0000)
Nd (0.5000, 0.5000, 0.0000)
Nd (0.6139, 0.8726, 0.0000)
Nd (0.6755, 0.3245, 0.5000)
Nd (0.8726, 0.6139, 0.0000)

Largest 12 diffraction maxima, most intense first, 2θ from 15° to 90°:
- 2.928 Å, 2θ 30.53, I 100
- 3.044 Å, 2θ 29.34, I 80
- 2.421 Å, 2θ 37.14, I 71
- 3.506 Å, 2θ 25.41, I 48
- 2.858 Å, 2θ 31.29, I 29
- 2.587 Å, 2θ 34.67, I 28
- 2.495 Å, 2θ 36.00, I 26
- 3.067 Å, 2θ 29.11, I 26
- 1.895 Å, 2θ 48.01, I 24
- 2.084 Å, 2θ 43.42, I 24
- 4.288 Å, 2θ 20.72, I 22
- 2.735 Å, 2θ 32.75, I 21



No. 6
Diffraction record for RbTbP2S8. The powder XRD pattern is simulated, not measured: it uses the GGA-PBE geometry in Alexandria and λ = 1.5418 Å (Cu Kα).
No peak broadening, texture or thermal motion is included.

Cell and atoms:
Cell lengths 6.1923, 6.1923, 9.6017 Å; angles 90.00, 90.00, 120.00 degrees
Element x y z (fractional)
Rb (0.0000, 0.0000, 0.0000)
Tb (0.0000, 0.0000, 0.5000)
P (0.3333, 0.6667, 0.7293)
P (0.6667, 0.3333, 0.2707)
S (0.0013, 0.3641, 0.6705)
S (0.3333, 0.6667, 0.9413)
S (0.3628, 0.9987, 0.6705)
S (0.3641, 0.3628, 0.3295)
S (0.6359, 0.6372, 0.6705)
S (0.6372, 0.0013, 0.3295)
S (0.6667, 0.3333, 0.0587)
S (0.9987, 0.6359, 0.3295)

Largest 12 diffraction maxima, most intense first, 2θ from 15° to 90°:
- 3.577 Å, 2θ 24.89, I 100
- 2.602 Å, 2θ 34.47, I 63
- 5.363 Å, 2θ 16.53, I 43
- 4.682 Å, 2θ 18.95, I 40
- 3.096 Å, 2θ 28.84, I 38
- 1.788 Å, 2θ 51.09, I 38
- 1.897 Å, 2θ 47.95, I 33
- 1.867 Å, 2θ 48.77, I 30
- 2.341 Å, 2θ 38.45, I 24
- 2.191 Å, 2θ 41.20, I 21
- 2.947 Å, 2θ 30.33, I 20
- 1.548 Å, 2θ 59.72, I 19



Question: Number 4 is which compound?
Answer: RbB3H3